# 1
Simulated powder X-ray diffraction pattern
Compound: NdInP2Rh5
Radiation: Cu Kα (weighted mean of Kα1 and Kα2)
Structure: a DFT-relaxed cell (GGA-PBE, Alexandria)

Structure:
abc: 4.094 4.094 10.071
angles: 90.00 90.00 90.00
Fractional coordinates of all 9 atoms:
Nd (0.000, 0.000, 0.000)
In (0.000, 0.000, 0.500)
P (0.500, 0.500, 0.225)
P (0.500, 0.500, 0.775)
Rh (0.000, 0.500, 0.320)
Rh (0.000, 0.500, 0.680)
Rh (0.500, 0.000, 0.320)
Rh (0.500, 0.000, 0.680)
Rh (0.500, 0.500, 0.000)

The 10 most intense peaks (2θ from 15° to 90°), sorted by position:
d_spacing	intensity
3.357	434
3.176	262
2.782	414
2.509	1000
2.047	587
1.900	314
1.748	263
1.653	222
1.447	188
1.254	253

# 2
Simulated powder X-ray diffraction pattern
Compound: HfZrCu2
Radiation: Cu Kα (weighted mean of Kα1 and Kα2)
Structure: a DFT-relaxed cell (GGA-PBE, Alexandria)

Structure:
abc: 6.521 5.641 5.636
angles: 70.66 54.71 54.64
Fractional coordinates of all 8 atoms:
Hf (0.247, 0.247, 0.753)
Hf (0.753, 0.753, 0.247)
Zr (0.245, 0.755, 0.245)
Zr (0.755, 0.245, 0.755)
Cu (0.250, 0.250, 0.250)
Cu (0.272, 0.728, 0.728)
Cu (0.728, 0.272, 0.272)
Cu (0.750, 0.750, 0.750)

The 10 most intense peaks (2θ from 15° to 90°), sorted by position:
d_spacing	intensity
4.611	118
3.260	132
3.245	68
2.306	509
2.300	1000
1.630	169
1.623	80
1.330	330
1.327	159
1.150	100

# 3
Simulated powder X-ray diffraction pattern
Compound: Zn36Ga5Ni8
Radiation: Cu Kα (weighted mean of Kα1 and Kα2)
Structure: a DFT-relaxed cell (GGA-PBE, Alexandria)

Structure:
abc: 8.875 8.875 8.875
angles: 90.00 90.00 90.00
Fractional coordinates of all 49 atoms:
Zn (0.000, 0.000, 0.312)
Zn (0.000, 0.000, 0.688)
Zn (0.000, 0.312, 0.000)
Zn (0.000, 0.688, 0.000)
Zn (0.055, 0.294, 0.294)
Zn (0.055, 0.706, 0.706)
Zn (0.139, 0.500, 0.500)
Zn (0.180, 0.180, 0.539)
Zn (0.180, 0.461, 0.820)
Zn (0.180, 0.539, 0.180)
Zn (0.180, 0.820, 0.461)
Zn (0.294, 0.055, 0.294)
Zn (0.294, 0.294, 0.055)
Zn (0.294, 0.706, 0.945)
Zn (0.294, 0.945, 0.706)
Zn (0.312, 0.000, 0.000)
Zn (0.461, 0.180, 0.820)
Zn (0.461, 0.820, 0.180)
Zn (0.500, 0.139, 0.500)
Zn (0.500, 0.500, 0.139)
Zn (0.500, 0.500, 0.861)
Zn (0.500, 0.861, 0.500)
Zn (0.539, 0.180, 0.180)
Zn (0.539, 0.820, 0.820)
Zn (0.688, 0.000, 0.000)
Zn (0.706, 0.055, 0.706)
Zn (0.706, 0.294, 0.945)
Zn (0.706, 0.706, 0.055)
Zn (0.706, 0.945, 0.294)
Zn (0.820, 0.180, 0.461)
Zn (0.820, 0.461, 0.180)
Zn (0.820, 0.539, 0.820)
Zn (0.820, 0.820, 0.539)
Zn (0.861, 0.500, 0.500)
Zn (0.945, 0.294, 0.706)
Zn (0.945, 0.706, 0.294)
Ga (0.000, 0.000, 0.000)
Ga (0.385, 0.385, 0.615)
Ga (0.385, 0.615, 0.385)
Ga (0.615, 0.385, 0.385)
Ga (0.615, 0.615, 0.615)
Ni (0.176, 0.176, 0.824)
Ni (0.176, 0.824, 0.176)
Ni (0.335, 0.335, 0.335)
Ni (0.335, 0.665, 0.665)
Ni (0.665, 0.335, 0.665)
Ni (0.665, 0.665, 0.335)
Ni (0.824, 0.176, 0.176)
Ni (0.824, 0.824, 0.824)

The 10 most intense peaks (2θ from 15° to 90°), sorted by position:
d_spacing	intensity
2.676	60
2.372	50
2.153	110
2.092	1000
1.892	44
1.479	79
1.309	41
1.281	44
1.208	137
1.092	68

# 4
Simulated powder X-ray diffraction pattern
Compound: DyEr6Se8
Radiation: Cu Kα (weighted mean of Kα1 and Kα2)
Structure: a DFT-relaxed cell (GGA-PBE, Alexandria)

Structure:
abc: 8.049 8.049 8.049
angles: 60.00 60.00 60.00
Fractional coordinates of all 15 atoms:
Dy (0.000, 0.000, 0.000)
Er (0.000, 0.000, 0.500)
Er (0.000, 0.500, 0.000)
Er (0.000, 0.500, 0.500)
Er (0.500, 0.000, 0.000)
Er (0.500, 0.000, 0.500)
Er (0.500, 0.500, 0.000)
Se (0.250, 0.250, 0.250)
Se (0.255, 0.255, 0.745)
Se (0.255, 0.745, 0.255)
Se (0.255, 0.745, 0.745)
Se (0.745, 0.255, 0.255)
Se (0.745, 0.255, 0.745)
Se (0.745, 0.745, 0.255)
Se (0.750, 0.750, 0.750)

The 10 most intense peaks (2θ from 15° to 90°), sorted by position:
d_spacing	intensity
5.692	49
3.432	56
3.286	157
2.846	1000
2.012	737
1.716	79
1.643	258
1.423	119
1.273	330
1.162	250

# 5
Simulated powder X-ray diffraction pattern
Compound: SrCu3Pd4O12
Radiation: Cu Kα (weighted mean of Kα1 and Kα2)
Structure: a DFT-relaxed cell (GGA-PBE, Alexandria)

Structure:
abc: 6.595 6.595 6.595
angles: 109.47 109.47 109.47
Fractional coordinates of all 20 atoms:
Sr (0.000, 0.000, 0.000)
Cu (0.000, 0.500, 0.500)
Cu (0.500, 0.000, 0.500)
Cu (0.500, 0.500, 0.000)
Pd (0.000, 0.000, 0.500)
Pd (0.000, 0.500, 0.000)
Pd (0.500, 0.000, 0.000)
Pd (0.500, 0.500, 0.500)
O (0.148, 0.315, 0.833)
O (0.167, 0.482, 0.315)
O (0.167, 0.852, 0.685)
O (0.315, 0.167, 0.482)
O (0.315, 0.833, 0.148)
O (0.482, 0.315, 0.167)
O (0.518, 0.685, 0.833)
O (0.685, 0.167, 0.852)
O (0.685, 0.833, 0.518)
O (0.833, 0.148, 0.315)
O (0.833, 0.518, 0.685)
O (0.852, 0.685, 0.167)

The 10 most intense peaks (2θ from 15° to 90°), sorted by position:
d_spacing	intensity
3.807	63
2.692	1000
2.408	34
2.035	21
1.904	223
1.703	36
1.554	468
1.346	119
1.204	170
1.099	46

# 6
Simulated powder X-ray diffraction pattern
Compound: Hf6Ge2N
Radiation: Cu Kα (weighted mean of Kα1 and Kα2)
Structure: a DFT-relaxed cell (GGA-PBE, Alexandria)

Structure:
abc: 5.771 5.771 11.228
angles: 90.00 90.00 90.00
Fractional coordinates of all 18 atoms:
Hf (0.190, 0.190, 0.140)
Hf (0.190, 0.190, 0.860)
Hf (0.221, 0.221, 0.500)
Hf (0.279, 0.721, 0.000)
Hf (0.310, 0.690, 0.360)
Hf (0.310, 0.690, 0.640)
Hf (0.690, 0.310, 0.360)
Hf (0.690, 0.310, 0.640)
Hf (0.721, 0.279, 0.000)
Hf (0.779, 0.779, 0.500)
Hf (0.810, 0.810, 0.140)
Hf (0.810, 0.810, 0.860)
Ge (0.000, 0.000, 0.328)
Ge (0.000, 0.000, 0.672)
Ge (0.500, 0.500, 0.172)
Ge (0.500, 0.500, 0.828)
N (0.000, 0.000, 0.000)
N (0.500, 0.500, 0.500)

The 10 most intense peaks (2θ from 15° to 90°), sorted by position:
d_spacing	intensity
4.081	133
2.886	337
2.758	1000
2.581	353
2.125	188
2.040	198
1.967	134
1.711	260
1.640	165
1.400	129